This entry pairs a crystal structure of Li4CrTeW2O12 with its simulated PXRD pattern. Radiation: Cu Kα (weighted mean of Kα1 and Kα2). Structure: a crystal structure in Alexandria, relaxed with PBE+U.
Lines closer than 0.1° are merged.

Crystal structure
```
Li4CrTeW2O12
1.0
5.1845 0.0000 0.0000
0.0026 5.4929 0.0000
0.0524 1.1950 15.1052
Li Cr Te W O
8 2 2 4 24
direct
0.0000 0.0000 0.0000
0.0025 0.0378 0.5045
0.0113 0.0154 0.2309
0.0159 0.9960 0.7330
0.5017 0.6708 0.5364
0.5049 0.6088 0.0212
0.5107 0.5324 0.2300
0.5149 0.5716 0.7389
0.0019 0.5887 0.6350
0.0079 0.5963 0.1349
0.5040 0.0824 0.8815
0.5117 0.0968 0.3828
0.0130 0.5921 0.3849
0.0159 0.5839 0.8852
0.4964 0.1011 0.1321
0.5093 0.1030 0.6344
0.1196 0.5997 0.5043
0.1293 0.6350 0.0072
0.1754 0.9302 0.8530
0.2032 0.2776 0.6609
0.2029 0.9078 0.3526
0.2122 0.2935 0.1710
0.3102 0.7991 0.6567
0.3125 0.8057 0.1698
0.3221 0.4071 0.3527
0.3275 0.4629 0.8469
0.3704 0.1039 0.0166
0.3809 0.0876 0.5024
0.6419 0.1104 0.2654
0.6452 0.0879 0.7504
0.6835 0.4028 0.6043
0.6888 0.4052 0.1142
0.6973 0.7806 0.9226
0.7085 0.7990 0.4206
0.7982 0.9006 0.6018
0.8049 0.9145 0.1136
0.8178 0.2888 0.4189
0.8698 0.2912 0.9256
0.8845 0.6094 0.7640
0.8918 0.6092 0.2680
```

Most intense lines, 2θ = 5–70°, by angle:
2θ 20.8, intensity 15.9, (1 0 2)
2θ 23.6, intensity 100.0, (1 1 0)
2θ 32.7, intensity 39.7, (1 1 4)
2θ 34.5, intensity 9.0, (1 -1 4)
2θ 34.6, intensity 17.9, (1 1 -4)
2θ 42.3, intensity 10.0, (2 0 -4)
2θ 48.4, intensity 11.8, (2 2 0)
2θ 53.1, intensity 13.3, (1 3 0)
2θ 53.2, intensity 8.8, (-2 2 4)
2θ 60.8, intensity 9.4, (1 3 -4)